Diffraction record for V4PbO8. The powder diffractogram is theoretical, not measured: it uses a cell relaxed with PBE+U and λ = 1.5418 Å (Cu Kα).
Neutral-atom scattering factors, no anomalous dispersion.

Most intense lines, 2θ from 10° to 80°, by angle:
two_theta  intensity  index
17.46  29  2 0 -1
18.47  100  1 1 0
22.81  19  2 0 0
23.09  17  2 0 -2
27.99  27  1 1 1
28.16  26  1 1 -2
29.81  22  0 0 2
34.20  34  2 2 -1
37.58  17  3 1 0
45.84  34  2 2 1

Atomic structure:
a b c (Å): 10.1595 6.1212 7.8104
angles (deg): 90.00 129.87 90.00
Space group C2/m (No. 12)
Asymmetric unit:
V 0.0000 0.2479 0.0000
V 0.2346 0.5000 0.9628
Pb 0.0000 0.0000 0.5000
O 0.0749 0.2386 0.8269
O 0.1617 0.0000 0.1768
O 0.1668 0.5000 0.1600